Starting from DFT lattice parameters and positions (PBE), the X-ray diffraction stick pattern of MgAgNO was simulated for Cu Kα X-rays.

Peak list (6 most intense, 10° ≤ 2θ ≤ 90°, sorted by position)
2theta	I/Imax	hkl
13.52	71	0 0 1
23.86	45	0 1 0
27.52	100	0 1 1
34.84	61	1 0 2
35.08	58	1 1 1
42.67	50	1 1 2

Atomic structure:
Cell: 4.1677 3.7293 6.5492 Å, 90.00 90.00 90.00°
Space group Pmma (No. 51)
One atom of each set of equivalent atoms:
Mg (0.2500, 0.0000, 0.1549) [2 per cell]
Ag (0.2500, 0.5000, 0.6328) [2 per cell]
N (0.2500, 0.5000, 0.2993) [2 per cell]
O (0.2500, 0.0000, 0.8487) [2 per cell]